[1]
Starting from a structure optimized by DFT (PBE), the X-ray diffraction stick pattern of Nd5Dy2Th was calculated for copper Kα.
Intensities are scaled so that the largest is 100.

Principal peaks in the range 10 to 90 degrees two-theta, by angle:
- hkl 0 4 1, d 2.966, 30.13 deg, intensity 100
- hkl 0 0 2, d 2.568, 34.94 deg, intensity 51
- hkl 2 4 2, d 1.816, 50.24 deg, intensity 36
- hkl 0 4 3, d 1.550, 59.63 deg, intensity 15
- hkl 2 8 1, d 1.548, 59.74 deg, intensity 29
- hkl 0 8 2, d 1.483, 62.65 deg, intensity 12
- hkl 2 8 3, d 1.179, 81.70 deg, intensity 15
- hkl 2 12 0, d 1.148, 84.37 deg, intensity 11

Structural model:
```
data_Nd5Dy2Th
_cell_length_a 7.2575
_cell_length_b 14.5200
_cell_length_c 5.1443
_cell_angle_alpha 90.00
_cell_angle_beta 90.00
_cell_angle_gamma 90.00
_symmetry_space_group_name_H-M 'P b a m'
_symmetry_Int_Tables_number 55
_symmetry_space_group_name_Hall '-P 2 2ab'
loop_
_atom_site_label
_atom_site_fract_x
_atom_site_fract_y
_atom_site_fract_z
Nd1 0.0000 0.0000 0.0000
Nd2 0.0064 0.2517 0.0000
Nd3 0.2475 0.3771 0.5000
Dy1 0.2401 0.6220 0.5000
Th1 0.0000 0.5000 0.0000
```

---

[2]
Starting from a structure optimized by DFT (PBE), the X-ray diffraction stick pattern of Pm5Dy4Ho3 was calculated for copper Kα.
Intensities are scaled so that the largest is 100.

Principal peaks in the range 10 to 90 degrees two-theta, by angle:
- hkl 2 0 1, d 2.924, 30.58 deg, intensity 100
- hkl 1 2 2, d 2.532, 35.45 deg, intensity 51
- hkl 0 4 0, d 1.791, 50.98 deg, intensity 24
- hkl 3 2 0, d 1.788, 51.07 deg, intensity 12
- hkl 4 0 -1, d 1.528, 60.61 deg, intensity 29
- hkl 3 2 3, d 1.525, 60.73 deg, intensity 14
- hkl 0 0 6, d 1.462, 63.64 deg, intensity 9
- hkl 5 -2 1, d 1.162, 83.09 deg, intensity 9

Structural model:
```
data_Pm5Dy4Ho3
_cell_length_a 6.2018
_cell_length_b 7.1621
_cell_length_c 8.7696
_cell_angle_alpha 90.06
_cell_angle_beta 90.13
_cell_angle_gamma 90.14
_symmetry_space_group_name_H-M 'P -1'
_symmetry_Int_Tables_number 2
_symmetry_space_group_name_Hall '-P 1'
loop_
_atom_site_label
_atom_site_fract_x
_atom_site_fract_y
_atom_site_fract_z
Pm1 0.0000 0.0000 0.0000
Pm2 0.3314 0.5002 0.3348
Pm3 0.4995 0.2495 0.9999
Dy1 0.1662 0.7508 0.6654
Dy2 0.3342 0.0001 0.3354
Ho1 0.0000 0.5000 0.0000
Ho2 0.1666 0.2488 0.6654
```

---

[3]
Starting from a structure optimized by DFT (PBE), the X-ray diffraction stick pattern of CePm2NdSm6 was calculated for copper Kα.
Intensities are scaled so that the largest is 100.

Principal peaks in the range 10 to 90 degrees two-theta, by angle:
- hkl 1 1 2, d 3.268, 27.29 deg, intensity 29
- hkl 2 0 2, d 3.041, 29.37 deg, intensity 30
- hkl 3 1 -2, d 2.966, 30.13 deg, intensity 29
- hkl 2 2 0, d 2.922, 30.60 deg, intensity 47
- hkl 2 2 -1, d 2.896, 30.87 deg, intensity 100
- hkl 3 1 1, d 2.834, 31.57 deg, intensity 30
- hkl 1 1 -3, d 2.754, 32.51 deg, intensity 36
- hkl 4 0 -2, d 2.693, 33.27 deg, intensity 62

Structural model:
```
data_CePm2NdSm6
_cell_length_a 11.5211
_cell_length_b 6.8760
_cell_length_c 9.0171
_cell_angle_alpha 90.00
_cell_angle_beta 105.72
_cell_angle_gamma 90.00
_symmetry_space_group_name_H-M 'C 1 2/m 1'
_symmetry_Int_Tables_number 12
_symmetry_space_group_name_Hall '-C 2y'
loop_
_atom_site_label
_atom_site_fract_x
_atom_site_fract_y
_atom_site_fract_z
Ce1 0.0000 0.0000 0.0000
Pm1 0.0870 0.5000 0.1645
Nd1 0.0000 0.5000 0.5000
Sm1 0.1254 0.0000 0.4149
Sm2 0.1770 0.2609 0.8023
```

---

[4]
Starting from a structure optimized by DFT (PBE), the X-ray diffraction stick pattern of GaAgPtPb2 was calculated for copper Kα.
Intensities are scaled so that the largest is 100.

Principal peaks in the range 10 to 90 degrees two-theta, by angle:
- hkl 0 1 2, d 3.536, 25.19 deg, intensity 67
- hkl 0 1 5, d 2.871, 31.15 deg, intensity 100
- hkl 1 0 7, d 2.436, 36.90 deg, intensity 74
- hkl 0 1 8, d 2.247, 40.13 deg, intensity 32
- hkl 1 1 0, d 2.150, 42.03 deg, intensity 94
- hkl 2 0 5, d 1.721, 53.23 deg, intensity 22
- hkl 0 2 7, d 1.612, 57.14 deg, intensity 21
- hkl 2 1 7, d 1.290, 73.42 deg, intensity 21

Structural model:
```
data_GaAgPtPb2
_cell_length_a 4.2999
_cell_length_b 4.2999
_cell_length_c 22.5430
_cell_angle_alpha 90.00
_cell_angle_beta 90.00
_cell_angle_gamma 120.00
_symmetry_space_group_name_H-M 'R 3 m'
_symmetry_Int_Tables_number 160
_symmetry_space_group_name_Hall 'R 3 -2"'
loop_
_atom_site_label
_atom_site_fract_x
_atom_site_fract_y
_atom_site_fract_z
Ga1 0.0000 0.0000 0.0000
Ag1 0.0000 0.0000 0.3882
Pt1 0.0000 0.0000 0.6488
Pb1 0.0000 0.0000 0.2381
Pb2 0.0000 0.0000 0.7918
```

---

[5]
Starting from a structure optimized by DFT (PBE), the X-ray diffraction stick pattern of BaZrPdO4 was calculated for copper Kα.
Intensities are scaled so that the largest is 100.

Principal peaks in the range 10 to 90 degrees two-theta, by angle:
- hkl 1 1 2, d 3.559, 25.02 deg, intensity 73
- hkl 0 1 3, d 3.325, 26.81 deg, intensity 40
- hkl 1 0 3, d 3.307, 26.96 deg, intensity 78
- hkl 0 2 2, d 2.811, 31.83 deg, intensity 52
- hkl 1 2 1, d 2.775, 32.26 deg, intensity 77
- hkl 2 1 1, d 2.745, 32.62 deg, intensity 100
- hkl 2 2 4, d 1.779, 51.35 deg, intensity 62
- hkl 2 3 1, d 1.749, 52.31 deg, intensity 35

Structural model:
```
data_BaZrPdO4
_cell_length_a 6.2905
_cell_length_b 6.4178
_cell_length_c 11.6632
_cell_angle_alpha 90.00
_cell_angle_beta 90.00
_cell_angle_gamma 90.00
_symmetry_space_group_name_H-M 'I m m a'
_symmetry_Int_Tables_number 74
_symmetry_space_group_name_Hall '-I 2b 2'
loop_
_atom_site_label
_atom_site_fract_x
_atom_site_fract_y
_atom_site_fract_z
Ba1 0.0000 0.2500 0.1596
Zr1 0.0000 0.0000 0.5000
Pd1 0.2500 0.2500 0.7500
O1 0.0000 0.0514 0.6913
O2 0.2116 0.2500 0.4822
```